Starting from a structure optimized by DFT (PBE), the powder diffractogram of InAgMo2 was computed for copper Kα.
Intensities are scaled so that the largest is 100.

Main lines, in order of rising 2θ (10° ≤ 2θ ≤ 80°):
2theta	intensity
37.4	49
37.9	51
38.1	100
40.6	40
45.7	58
62.4	19
63.1	22
72.3	13
79.2	11
79.8	15

Structure:
```
4
Lattice="4.7635 -1.3949 0.0000 4.7635 1.3949 0.0000 -0.4912 0.0000 5.2773" Properties=species:S:1:pos:R:3 pbc="T T T"
In 0.0000 0.0000 0.0000
Ag 2.0017 0.0000 4.0974
Mo 4.5681 0.0000 2.5957
Mo 6.9792 0.0000 1.5421
```